# 1
Diffraction record for LiCoSiO4. The X-ray powder pattern is simulated, not measured: it uses a DFT-relaxed cell (PBE+U, the Materials Project) and Cu Ka.
Peak positions follow from Bragg's law for the DFT cell and can differ from measured ones.

Largest 10 diffraction maxima, in order of rising 2θ, 2θ = 15–90°:
Position (°2θ), I (rel.)
15.7, 83
23.3, 100
24.0, 19
29.9, 32
33.0, 40
34.0, 47
34.4, 31
47.7, 19
58.1, 20
60.8, 27

Cell and atoms:
Unit cell a=11.254 b=5.208 c=5.967 alpha=90.00 beta=90.00 gamma=90.00
Space group Pna2_1 (No. 33)
Symmetry-distinct sites (fractional):
Li (0.173, 0.197, 0.000) x4
Co (0.078, 0.823, 0.274) x4
Si (0.078, 0.684, 0.767) x4
O (0.054, 0.178, 0.249) x4
O (0.062, 0.371, 0.788) x4
O (0.148, 0.789, 0.991) x4
O (0.157, 0.751, 0.541) x4

***

# 2
Diffraction record for LiCoSiO4. The X-ray powder pattern is simulated, not measured: it uses a DFT-relaxed cell (PBE+U, the Materials Project) and Cu Ka.
Peak positions follow from Bragg's law for the DFT cell and can differ from measured ones.

Largest 10 diffraction maxima, in order of rising 2θ, 2θ = 15–90°:
Position (°2θ), I (rel.)
20.5, 34
21.9, 100
22.3, 24
25.8, 76
31.7, 76
34.4, 70
39.1, 24
49.3, 35
66.3, 50
70.8, 21

Cell and atoms:
Unit cell a=13.8145 b=13.8145 c=9.2773 alpha=90.00 beta=90.00 gamma=120.00
Space group R3 (No. 146, hexagonal axes)
Symmetry-distinct sites (fractional):
Li (0.0154, 0.8089, 0.0000) x9
Li (0.1418, 0.4563, 0.1639) x9
Co (0.0191, 0.8051, 0.3326) x9
Co (0.1384, 0.4572, 0.4984) x9
Si (0.0114, 0.8034, 0.6676) x9
Si (0.1372, 0.4556, 0.8343) x9
O (0.9996, 0.6786, 0.6712) x9
O (0.0133, 0.3413, 0.8385) x9
O (0.0730, 0.8670, 0.5165) x9
O (0.0783, 0.8763, 0.8094) x9
O (0.1029, 0.8870, 0.1743) x9
O (0.1989, 0.4607, 0.6804) x9
O (0.2065, 0.0858, 0.3069) x9
O (0.2158, 0.0991, 0.6735) x9

***

# 3
Diffraction record for LiCoSiO4. The X-ray powder pattern is simulated, not measured: it uses a DFT-relaxed cell (PBE+U, the Materials Project) and Cu Ka.
Peak positions follow from Bragg's law for the DFT cell and can differ from measured ones.

Largest 10 diffraction maxima, in order of rising 2θ, 2θ = 15–90°:
Position (°2θ), I (rel.)
19.9, 32
20.8, 79
24.9, 20
25.5, 19
34.9, 100
35.4, 64
35.9, 23
51.1, 16
58.5, 17
62.6, 22

Cell and atoms:
Unit cell a=4.861 b=8.911 c=7.849 alpha=90.00 beta=126.52 gamma=90.00
Space group P2_1/c (No. 14)
Symmetry-distinct sites (fractional):
Li (0.209, 0.163, 0.240) x4
Co (0.000, 0.000, 0.500) x2
Co (0.500, 0.000, 0.000) x2
Si (0.293, 0.678, 0.760) x4
O (0.035, 0.130, 0.742) x4
O (0.230, 0.616, 0.543) x4
O (0.346, 0.115, 0.529) x4
O (0.361, 0.637, 0.260) x4

***

Q: Which formula does entry 3 have?
A: LiCoSiO4